Diffraction record for LiCoPO4. The powder diffractogram is computed, not measured: it uses a DFT-relaxed cell (GGA+U, Alexandria) and Cu Kα X-rays.

Peak list (12 most intense, 2θ = 10–90°, sorted by position)
hkl 2 0 0, d = 7.361 Å, 12.02°, I = 100
hkl 3 1 0, d = 3.231 Å, 27.60°, I = 30
hkl 1 1 1, d = 3.129 Å, 28.53°, I = 32
hkl 4 0 1, d = 2.922 Å, 30.59°, I = 16
hkl 3 1 1, d = 2.682 Å, 33.41°, I = 87
hkl 4 1 1, d = 2.416 Å, 37.22°, I = 22
hkl 6 0 1, d = 2.185 Å, 41.31°, I = 10
hkl 5 1 1, d = 2.167 Å, 41.67°, I = 11
hkl 0 2 2, d = 1.601 Å, 57.57°, I = 14
hkl 6 2 1, d = 1.532 Å, 60.45°, I = 13
hkl 3 1 3, d = 1.435 Å, 64.97°, I = 10
hkl 6 0 3, d = 1.341 Å, 70.16°, I = 10

Atomic structure:
a = 14.7228 Å, b = 4.2936 Å, c = 4.8065 Å
α = 90.00°, β = 90.00°, γ = 90.00°
Sites, in units of the cell vectors:
Li1 0.0006 0.2426 0.0000
Li2 0.4994 0.2426 0.5000
Li3 0.5006 0.7574 0.0000
Li4 0.9994 0.7574 0.5000
Co1 0.1892 0.7969 0.9447
Co2 0.3108 0.7969 0.4447
Co3 0.6892 0.2031 0.9447
Co4 0.8108 0.2031 0.4447
P1 0.1368 0.2582 0.4893
P2 0.3632 0.2582 0.9893
P3 0.6368 0.7418 0.4893
P4 0.8632 0.7418 0.9893
O1 0.0666 0.4253 0.3058
O2 0.0889 0.0600 0.7239
O3 0.1926 0.0247 0.3074
O4 0.2009 0.4981 0.6316
O5 0.2991 0.4981 0.1316
O6 0.3074 0.0247 0.8074
O7 0.4111 0.0600 0.2239
O8 0.4334 0.4253 0.8058
O9 0.5666 0.5747 0.3058
O10 0.5889 0.9400 0.7239
O11 0.6926 0.9753 0.3074
O12 0.7009 0.5019 0.6316
O13 0.7991 0.5019 0.1316
O14 0.8074 0.9753 0.8074
O15 0.9111 0.9400 0.2239
O16 0.9334 0.5747 0.8058